Diffraction record for Dy2YTaO7. The X-ray diffraction stick pattern is theoretical, not measured: it uses a DFT-relaxed cell (PBE, Alexandria) and Cu Kα.
Neutral-atom scattering factors, no anomalous dispersion.

Cell and atoms:
```
data_Dy2YTaO7
_chemical_formula_sum 'Dy8 Y4 Ta4 O28'
_space_group_name_H-M_alt 'C m c m'
_space_group_IT_number 63
_space_group_name_Hall '-C 2c 2'
_cell_length_a 7.4800
_cell_length_b 10.5560
_cell_length_c 7.5147
_cell_angle_alpha 90.00
_cell_angle_beta 90.00
_cell_angle_gamma 90.00
loop_
_atom_site_label
_atom_site_type_symbol
_atom_site_fract_x
_atom_site_fract_y
_atom_site_fract_z
Dy1 Dy 0.2324 0.2328 0.2500
Y1 Y 0.0000 0.5000 0.0000
Ta1 Ta 0.0000 0.0000 0.0000
O1 O 0.0000 0.0671 0.2500
O2 O 0.0000 0.3619 0.2500
O3 O 0.0000 0.3704 0.7500
O4 O 0.1962 0.1250 0.5329
```

Principal peaks in the range 10° ≤ 2θ ≤ 90°, in order of rising 2θ:
Position (°2θ)	I/Imax
14.51	7.4
29.22	100.0
33.82	23.7
33.97	10.5
48.45	8.4
48.69	35.6
57.62	14.9
57.81	19.2